This entry pairs a crystal structure of KAl2CrF8 with its simulated X-ray diffraction stick pattern. Radiation: CuKα. Structure: DFT lattice parameters and positions (PBE+U).
Intensities are scaled so that the largest is 100.

Crystal structure
Lattice parameters (Å, degrees): 5.4294 5.4294 22.8490 90.00 90.00 120.00
Space group R-3 (No. 148, hexagonal axes)
Symmetry-distinct sites (fractional):
K1 0.0000 0.0000 0.0000 x3
Al1 0.0000 0.0000 0.2502 x6
Cr1 0.0000 0.0000 0.5000 x3
F1 0.0000 0.0000 0.3247 x6
F2 0.0222 0.7122 0.7715 x18

Main lines, low angle first (2θ = 5–70°):
d [Å]  2θ (°)  I/Imax  (hkl)
3.630  24.5  100  1 0 4
2.715  33.0  36  1 1 0
2.557  35.1  36  1 1 3
2.539  35.4  10  0 0 9
2.441  36.8  25  0 1 8
2.211  40.8  39  2 -1 6
2.174  41.5  16  0 2 4
1.697  54.0  16  2 1 4
1.567  58.9  25  3 0 0
1.559  59.3  27  1 1 12